Computed powder XRD pattern of Cr2InF6 for λ = 1.5418 Å (Cu Kα), from a structure optimized by DFT (PBE+U).
Kinematic intensities with the Lorentz-polarization factor, no thermal factor.

Most intense lines, 15 to 90 degrees two-theta, in order of falling intensity:
| two_theta | I_rel |
| --- | --- |
| 23.59 | 100 |
| 23.86 | 95 |
| 24.31 | 94 |
| 45.42 | 56 |
| 32.76 | 35 |
| 43.94 | 28 |
| 31.41 | 26 |
| 56.77 | 23 |
| 45.12 | 21 |
| 39.94 | 20 |
| 50.39 | 19 |
| 36.11 | 19 |

Unit cell a=5.474 b=5.474 c=5.887 alpha=90.40 beta=90.40 gamma=117.29
Fractional positions:
Cr 0.000 0.000 0.000
Cr 0.666 0.334 0.000
In 0.326 0.674 0.500
F 0.284 0.004 0.199
F 0.312 0.286 0.836
F 0.714 0.688 0.164
F 0.716 0.041 0.814
F 0.959 0.284 0.186
F 0.996 0.716 0.801